1.
Diffraction record for BaCaGdBiO6. The powder XRD pattern is computed, not measured: it uses a crystal structure in the Materials Project, relaxed with GGA-PBE and Cu Kα (λ = 1.5418 Å).
Intensities are scaled so that the largest is 100.

Largest 6 diffraction maxima, sorted by position, 15 to 90 degrees two-theta:
hkl	Position (°2θ)	d/Å	Rel. int.
0 2 0	20.68	4.295	20
2 0 2	29.41	3.037	100
0 4 0	42.03	2.150	18
2 4 2	52.14	1.754	31
4 2 2	52.21	1.752	15
2 4 6	84.30	1.149	11

Structural model:
Cell: 8.576 8.589 8.608 Å, 90.00 90.00 90.00°
Space group P222 (No. 16)
Unique sites:
Ba 0.000 0.000 0.000
Ba 0.000 0.000 0.500
Ba 0.000 0.500 0.000
Ba 0.500 0.500 0.500
Ca 0.000 0.500 0.500
Ca 0.500 0.000 0.000
Ca 0.500 0.000 0.500
Ca 0.500 0.500 0.000
Gd 0.256 0.252 0.749
Bi 0.257 0.250 0.252
O 0.009 0.275 0.213
O 0.207 0.309 0.491
O 0.223 0.006 0.285
O 0.304 0.204 0.008
O 0.304 0.491 0.199
O 0.493 0.209 0.314

=====

2.
Diffraction record for BaCaLaBiO6. The powder XRD pattern is computed, not measured: it uses a crystal structure in the Materials Project, relaxed with GGA-PBE and Cu Kα (λ = 1.5418 Å).
Intensities are scaled so that the largest is 100.

Largest 6 diffraction maxima, sorted by position, 15 to 90 degrees two-theta:
hkl	Position (°2θ)	d/Å	Rel. int.
1 1 1	17.82	4.977	38
2 0 2	29.28	3.050	100
2 2 0	29.35	3.043	49
2 4 2	51.92	1.761	46
4 2 2	52.07	1.756	23
4 4 0	60.84	1.522	16

Structural model:
Cell: 8.589 8.624 8.648 Å, 90.00 90.00 90.00°
Space group Pnnn (No. 48, origin choice 2)
Unique sites:
Ba 0.250 0.250 0.250
Ba 0.250 0.750 0.750
Ca 0.000 0.000 0.000
La 0.250 0.250 0.750
La 0.250 0.750 0.250
Bi 0.000 0.000 0.500
O 0.037 0.241 0.475
O 0.060 0.039 0.739
O 0.239 0.549 0.056

=====

3.
Diffraction record for BaCaLaBiO6. The powder XRD pattern is computed, not measured: it uses a crystal structure in the Materials Project, relaxed with GGA-PBE and Cu Kα (λ = 1.5418 Å).
Intensities are scaled so that the largest is 100.

Largest 6 diffraction maxima, sorted by position, 15 to 90 degrees two-theta:
hkl	Position (°2θ)	d/Å	Rel. int.
2 0 0	20.07	4.424	21
2 2 0	28.53	3.128	100
4 0 0	40.79	2.212	31
4 2 2	50.53	1.806	42
4 4 0	59.06	1.564	20
6 4 2	81.39	1.182	22

Structural model:
Cell: 8.848 8.848 8.848 Å, 90.00 90.00 90.00°
Space group F-43m (No. 216)
Unique sites:
Ba 0.000 0.000 0.000
Ca 0.000 0.000 0.500
La 0.250 0.250 0.250
Bi 0.250 0.250 0.750
O 0.011 0.250 0.750

=====

4.
Diffraction record for BaCaLaBiO6. The powder XRD pattern is computed, not measured: it uses a crystal structure in the Materials Project, relaxed with GGA-PBE and Cu Kα (λ = 1.5418 Å).
Intensities are scaled so that the largest is 100.

Largest 6 diffraction maxima, sorted by position, 15 to 90 degrees two-theta:
hkl	Position (°2θ)	d/Å	Rel. int.
2 0 0	20.43	4.347	18
2 0 2	28.95	3.084	100
2 2 0	29.05	3.074	48
2 2 4	51.24	1.783	23
4 2 2	51.43	1.777	46
4 0 4	59.98	1.542	15

Structural model:
Cell: 8.682 8.706 8.755 Å, 90.00 90.00 90.00°
Space group P222 (No. 16)
Unique sites:
Ba 0.000 0.000 0.000
Ba 0.000 0.000 0.500
Ba 0.500 0.000 0.000
Ba 0.500 0.500 0.000
Ca 0.000 0.500 0.000
Ca 0.000 0.500 0.500
Ca 0.500 0.000 0.500
Ca 0.500 0.500 0.500
La 0.250 0.254 0.254
Bi 0.252 0.255 0.743
O 0.015 0.300 0.687
O 0.200 0.307 0.981
O 0.211 0.015 0.781
O 0.302 0.192 0.511
O 0.305 0.489 0.691
O 0.488 0.226 0.797